Starting from a cell relaxed with PBE+U, the powder diffraction line list of Ba2SiMoO6 was computed for λ = 1.5418 Å (Cu Kα).
Kinematic intensities with the Lorentz-polarization factor, no thermal factor.

Top 10 peaks for 5 to 70 degrees two-theta, in order of rising 2θ:
two_theta  I_rel
31.5  21
31.8  100
39.0  10
39.3  9
45.4  26
45.8  13
56.3  16
56.7  8
56.8  15
66.5  16

```
10
Lattice="-2.8070 2.8415 3.9590 2.8070 -2.8415 3.9590 2.8070 2.8415 -3.9590" Properties=species:S:1:pos:R:3 pbc="T T T"
Ba 0.0000 0.0000 1.9715
Ba 0.0000 0.0000 5.9465
Si 0.0000 2.8415 0.0000
Mo 2.8070 0.0000 0.0000
O 2.8070 0.0000 2.0735
O 1.3139 1.5338 0.0000
O 1.4930 -1.3077 3.9590
O 1.3139 4.1492 0.0000
O 1.4930 1.3077 3.9590
O 0.0000 2.8415 1.8855
```